1.
Simulated PXRD pattern
Compound: La2CuNiGe2
Radiation: λ = 1.5418 Å (Cu Kα)
Structure: DFT lattice parameters and positions (PBE)
Peak positions follow from Bragg's law for the DFT cell and can differ from measured ones.

Peak list (10 most intense, 2θ = 10–90°, in order of rising 2θ)
2theta, Rel. int., h k l
24.28, 10.2, 1 0 0
32.31, 100.0, 1 0 2
42.72, 55.3, 1 1 0
49.74, 4.3, 2 0 0
54.56, 22.1, 2 0 2
62.01, 26.4, 1 1 4
67.62, 2.4, 2 1 0
71.67, 28.4, 2 1 2
78.24, 6.7, 3 0 0
87.18, 5.6, 2 0 6

Cell and atoms:
```
data_La2CuNiGe2
_chemical_formula_sum 'La2 Cu1 Ni1 Ge2'
_cell_length_a 4.2326
_cell_length_b 4.2326
_cell_length_c 8.4667
_cell_angle_alpha 90.00
_cell_angle_beta 90.00
_cell_angle_gamma 120.00
_space_group_name_H-M_alt 'P -6 m 2'
_space_group_IT_number 187
_space_group_name_Hall 'P -6 2'
loop_
_atom_site_label
_atom_site_type_symbol
_atom_site_fract_x
_atom_site_fract_y
_atom_site_fract_z
La1 La 0.0000 0.0000 0.2429
Cu1 Cu 0.6667 0.3333 0.5000
Ni1 Ni 0.3333 0.6667 0.0000
Ge1 Ge 0.3333 0.6667 0.5000
Ge2 Ge 0.6667 0.3333 0.0000
```

2.
Simulated PXRD pattern
Compound: ThNi5P2
Radiation: λ = 1.5418 Å (Cu Kα)
Structure: DFT lattice parameters and positions (PBE)
Peak positions follow from Bragg's law for the DFT cell and can differ from measured ones.

Peak list (10 most intense, 2θ = 10–90°, in order of rising 2θ)
2theta, Rel. int., h k l
27.45, 26.6, 1 1 0
33.17, 30.9, 0 1 3
34.12, 29.1, 1 1 2
34.44, 35.3, 0 2 2
38.21, 100.0, 1 2 1
38.53, 85.5, 1 0 3
48.29, 29.0, 2 0 0
49.75, 34.9, 0 2 4
53.38, 21.1, 1 3 2
71.86, 22.6, 2 2 4

Cell and atoms:
```
data_ThNi5P2
_chemical_formula_sum 'Th2 Ni10 P4'
_cell_length_a 3.769
_cell_length_b 6.411
_cell_length_c 8.935
_cell_angle_alpha 90.00
_cell_angle_beta 90.00
_cell_angle_gamma 90.00
_space_group_name_H-M_alt 'I m m m'
_space_group_IT_number 71
_space_group_name_Hall '-I 2 2'
loop_
_atom_site_label
_atom_site_type_symbol
_atom_site_fract_x
_atom_site_fract_y
_atom_site_fract_z
Th1 Th 0.000 0.000 0.000
Ni1 Ni 0.000 0.190 0.347
Ni2 Ni 0.000 0.500 0.000
P1 P 0.000 0.500 0.241
```

3.
Simulated PXRD pattern
Compound: SbMoAs2
Radiation: λ = 1.5418 Å (Cu Kα)
Structure: DFT lattice parameters and positions (PBE)
Peak positions follow from Bragg's law for the DFT cell and can differ from measured ones.

Peak list (9 most intense, 2θ = 10–90°, in order of rising 2θ)
2theta, Rel. int., h k l
23.02, 4.1, 1 1 1
38.03, 100.0, 2 2 0
44.93, 2.0, 3 1 1
54.88, 16.8, 4 0 0
60.29, 0.8, 3 3 1
68.72, 34.0, 4 2 2
73.54, 0.6, 5 1 1
81.34, 10.8, 4 4 0
85.93, 0.6, 5 3 1

Cell and atoms:
```
data_SbMoAs2
_chemical_formula_sum 'Sb4 Mo4 As8'
_cell_length_a 6.692
_cell_length_b 6.692
_cell_length_c 6.692
_cell_angle_alpha 90.00
_cell_angle_beta 90.00
_cell_angle_gamma 90.00
_space_group_name_H-M_alt 'F -4 3 m'
_space_group_IT_number 216
_space_group_name_Hall 'F -4 2 3'
loop_
_atom_site_label
_atom_site_type_symbol
_atom_site_fract_x
_atom_site_fract_y
_atom_site_fract_z
Sb1 Sb 0.000 0.000 0.000
Mo1 Mo 0.250 0.250 0.250
As1 As 0.000 0.000 0.500
As2 As 0.250 0.250 0.750
```

4.
Simulated PXRD pattern
Compound: SmAl5NiPd
Radiation: λ = 1.5418 Å (Cu Kα)
Structure: DFT lattice parameters and positions (PBE)
Peak positions follow from Bragg's law for the DFT cell and can differ from measured ones.

Peak list (10 most intense, 2θ = 10–90°, in order of rising 2θ)
2theta, Rel. int., h k l
15.29, 31.0, 0 1 1
24.69, 42.9, 0 2 0
30.21, 26.6, 0 1 3
31.43, 100.0, 1 1 2
34.68, 54.0, 1 2 1
35.58, 30.0, 1 0 3
44.95, 38.1, 0 2 4
45.15, 24.0, 2 0 0
47.90, 45.5, 1 3 2
65.60, 24.1, 2 2 4

Cell and atoms:
```
data_SmAl5NiPd
_chemical_formula_sum 'Sm2 Al10 Ni2 Pd2'
_cell_length_a 4.017
_cell_length_b 7.213
_cell_length_c 9.730
_cell_angle_alpha 90.00
_cell_angle_beta 90.00
_cell_angle_gamma 90.00
_space_group_name_H-M_alt 'I m m 2'
_space_group_IT_number 44
loop_
_space_group_symop_operation_xyz
'x,y,z'
'-x,-y,z'
'-x,y,z'
'x,-y,z'
'x+1/2,y+1/2,z+1/2'
'-x+1/2,-y+1/2,z+1/2'
'-x+1/2,y+1/2,z+1/2'
'x+1/2,-y+1/2,z+1/2'
loop_
_atom_site_label
_atom_site_type_symbol
_atom_site_fract_x
_atom_site_fract_y
_atom_site_fract_z
Sm1 Sm 0.000 0.000 0.000
Al1 Al 0.000 0.184 0.661
Al2 Al 0.000 0.197 0.355
Al3 Al 0.000 0.500 0.013
Ni1 Ni 0.000 0.500 0.249
Pd1 Pd 0.000 0.500 0.764
```

5.
Simulated PXRD pattern
Compound: Dy2Te
Radiation: λ = 1.5418 Å (Cu Kα)
Structure: DFT lattice parameters and positions (PBE)
Peak positions follow from Bragg's law for the DFT cell and can differ from measured ones.

Peak list (10 most intense, 2θ = 10–90°, in order of rising 2θ)
2theta, Rel. int., h k l
29.53, 47.5, 3 1 2
30.87, 100.0, 5 1 1
32.11, 89.0, 2 0 4
33.13, 22.9, 2 1 3
33.26, 26.3, 8 0 1
33.74, 69.8, 5 1 2
34.38, 39.6, 3 1 3
37.28, 29.2, 5 0 4
44.68, 42.9, 0 2 0
56.08, 22.4, 2 2 4

Cell and atoms:
```
data_Dy2Te
_chemical_formula_sum 'Dy24 Te12'
_cell_length_a 22.167
_cell_length_b 4.056
_cell_length_c 11.516
_cell_angle_alpha 90.00
_cell_angle_beta 90.00
_cell_angle_gamma 90.00
_space_group_name_H-M_alt 'P n m a'
_space_group_IT_number 62
loop_
_space_group_symop_operation_xyz
'x,y,z'
'-x,-y,-z'
'-x+1/2,-y,z+1/2'
'x+1/2,y,-z+1/2'
'x+1/2,-y+1/2,-z+1/2'
'-x+1/2,y+1/2,z+1/2'
'-x,y+1/2,-z'
'x,-y+1/2,z'
loop_
_atom_site_label
_atom_site_type_symbol
_atom_site_fract_x
_atom_site_fract_y
_atom_site_fract_z
Dy1 Dy 0.017 0.250 0.113
Dy2 Dy 0.034 0.750 0.384
Dy3 Dy 0.108 0.250 0.849
Dy4 Dy 0.147 0.750 0.086
Dy5 Dy 0.161 0.250 0.545
Dy6 Dy 0.233 0.750 0.766
Te1 Te 0.069 0.750 0.649
Te2 Te 0.128 0.250 0.289
Te3 Te 0.239 0.250 0.980
```

6.
Simulated PXRD pattern
Compound: Pr2AgS3
Radiation: λ = 1.5418 Å (Cu Kα)
Structure: DFT lattice parameters and positions (PBE)
Peak positions follow from Bragg's law for the DFT cell and can differ from measured ones.

Peak list (10 most intense, 2θ = 10–90°, in order of rising 2θ)
2theta, Rel. int., h k l
24.56, 23.5, 1 0 4
26.41, 34.3, 2 0 3
27.96, 83.0, 0 1 3
29.83, 39.9, 1 0 5
30.33, 100.0, 2 1 0
32.74, 20.7, 3 0 2
37.55, 29.3, 1 1 5
38.68, 22.4, 3 1 1
45.45, 29.4, 0 2 0
48.06, 28.9, 3 1 5

Cell and atoms:
```
data_Pr2AgS3
_chemical_formula_sum 'Pr8 Ag4 S12'
_cell_length_a 8.738
_cell_length_b 3.991
_cell_length_c 15.937
_cell_angle_alpha 90.00
_cell_angle_beta 90.00
_cell_angle_gamma 90.00
_space_group_name_H-M_alt 'P n m a'
_space_group_IT_number 62
loop_
_space_group_symop_operation_xyz
'x,y,z'
'-x,-y,-z'
'-x+1/2,-y,z+1/2'
'x+1/2,y,-z+1/2'
'x+1/2,-y+1/2,-z+1/2'
'-x+1/2,y+1/2,z+1/2'
'-x,y+1/2,-z'
'x,-y+1/2,z'
loop_
_atom_site_label
_atom_site_type_symbol
_atom_site_fract_x
_atom_site_fract_y
_atom_site_fract_z
Pr1 Pr 0.103 0.250 0.219
Pr2 Pr 0.194 0.250 0.952
Ag1 Ag 0.084 0.250 0.609
S1 S 0.091 0.250 0.402
S2 S 0.130 0.750 0.079
S3 S 0.152 0.250 0.771
```